The following is a theoretical PXRD pattern of Rb4Bi. It was derived from the PBE geometry in the Materials Project, using Cu Kα, 1.54184 Å.
Lines closer than 0.1° are merged.

The 10 most intense peaks (2θ = 10–80°), by intensity:
- (4 4 0), 2θ 33.29, I 100
- (2 2 2), 2θ 20.21, I 94
- (2 2 0), 2θ 16.47, I 78
- (1 1 1), 2θ 10.06, I 54
- (3 1 1), 2θ 19.34, I 49
- (6 2 2), 2θ 39.25, I 48
- (3 3 1), 2θ 25.50, I 42
- (4 2 2), 2θ 28.73, I 41
- (8 4 4), 2θ 59.49, I 35
- (5 1 1), 2θ 30.51, I 33

Structure:
Unit cell a=15.224 b=15.224 c=15.224 alpha=90.00 beta=90.00 gamma=90.00
Space group Fd-3m (No. 227, origin choice 2)
Asymmetric unit:
Rb: 0.006 0.006 0.244
Bi: 0.125 0.125 0.625

The following is a theoretical PXRD pattern of RbBi3. It was derived from the PBE geometry in the Materials Project, using Cu Kα, 1.54184 Å.
Lines closer than 0.1° are merged.

The 10 most intense peaks (2θ = 10–80°), by intensity:
- (1 1 0), 2θ 30.73, I 100
- (1 0 3), 2θ 31.48, I 67
- (1 0 2), 2θ 24.69, I 38
- (2 1 3), 2θ 55.11, I 28
- (2 0 3), 2θ 44.57, I 26
- (1 1 6), 2θ 62.73, I 23
- (1 0 4), 2θ 39.21, I 22
- (3 0 0), 2θ 54.64, I 20
- (1 0 1), 2θ 19.60, I 19
- (2 2 0), 2θ 64.01, I 13

Structure:
```
data_RbBi3
_cell_length_a 5.8187
_cell_length_b 5.8187
_cell_length_c 10.3259
_cell_angle_alpha 90.00
_cell_angle_beta 90.00
_cell_angle_gamma 120.00
_symmetry_space_group_name_H-M 'P 63/m m c'
_symmetry_Int_Tables_number 194
_symmetry_space_group_name_Hall '-P 6c 2c'
loop_
_atom_site_label
_atom_site_fract_x
_atom_site_fract_y
_atom_site_fract_z
_atom_site_occupancy
Rb1 0.3333 0.6667 0.2500 1
Bi1 0.0000 0.0000 0.2500 1
Bi2 0.3333 0.6667 0.5969 1
```

The following is a theoretical PXRD pattern of RbBi3S5. It was derived from the PBE geometry in the Materials Project, using Cu Kα, 1.54184 Å.
Lines closer than 0.1° are merged.

The 10 most intense peaks (2θ = 10–80°), by intensity:
- (3 1 1), 2θ 29.94, I 100
- (0 3 1), 2θ 25.67, I 94
- (1 6 0), 2θ 29.44, I 60
- (3 0 1), 2θ 29.55, I 53
- (3 2 0), 2θ 22.42, I 49
- (6 2 0), 2θ 42.42, I 38
- (0 0 2), 2θ 43.32, I 32
- (3 3 0), 2θ 24.84, I 30
- (1 6 2), 2θ 53.24, I 24
- (0 6 0), 2θ 28.63, I 23

Structure:
```
data_RbBi3S5
_cell_length_a 13.138
_cell_length_b 18.710
_cell_length_c 4.178
_cell_angle_alpha 90.00
_cell_angle_beta 90.00
_cell_angle_gamma 90.00
_symmetry_space_group_name_H-M 'P n n m'
_symmetry_Int_Tables_number 58
_symmetry_space_group_name_Hall '-P 2 2n'
loop_
_atom_site_label
_atom_site_fract_x
_atom_site_fract_y
_atom_site_fract_z
_atom_site_occupancy
Rb1 0.080 0.115 0.000 1
Bi1 0.055 0.654 0.500 1
Bi2 0.161 0.471 0.000 1
Bi3 0.232 0.806 0.000 1
S1 0.000 0.000 0.500 1
S2 0.000 0.500 0.500 1
S3 0.096 0.796 0.500 1
S4 0.107 0.328 0.000 1
S5 0.189 0.631 0.000 1
S6 0.204 0.947 0.000 1
```

The following is a theoretical PXRD pattern of RbBi3S5. It was derived from the PBE geometry in the Materials Project, using Cu Kα, 1.54184 Å.
Lines closer than 0.1° are merged.

The 10 most intense peaks (2θ = 10–80°), by intensity:
- (0 3 1), 2θ 25.29, I 100
- (3 1 1), 2θ 30.21, I 65
- (3 0 1), 2θ 29.83, I 46
- (1 6 0), 2θ 28.98, I 37
- (0 6 0), 2θ 28.10, I 36
- (0 0 2), 2θ 42.77, I 36
- (3 2 0), 2θ 22.95, I 33
- (3 5 1), 2θ 38.22, I 23
- (3 6 1), 2θ 41.44, I 21
- (2 7 1), 2θ 41.95, I 19

Structure:
```
data_RbBi3S5
_cell_length_a 12.728
_cell_length_b 19.054
_cell_length_c 4.228
_cell_angle_alpha 90.00
_cell_angle_beta 90.00
_cell_angle_gamma 90.00
_symmetry_space_group_name_H-M 'P n n m'
_symmetry_Int_Tables_number 58
_symmetry_space_group_name_Hall '-P 2 2n'
loop_
_atom_site_label
_atom_site_fract_x
_atom_site_fract_y
_atom_site_fract_z
_atom_site_occupancy
Rb1 0.102 0.149 0.000 1
Bi1 0.051 0.651 0.500 1
Bi2 0.169 0.478 0.000 1
Bi3 0.226 0.814 0.000 1
S1 0.000 0.000 0.000 1
S2 0.000 0.500 0.500 1
S3 0.089 0.793 0.500 1
S4 0.111 0.333 0.000 1
S5 0.177 0.954 0.000 1
S6 0.191 0.628 0.000 1
```

The following is a theoretical PXRD pattern of RbSiBiS4. It was derived from the PBE geometry in the Materials Project, using Cu Kα, 1.54184 Å.
Lines closer than 0.1° are merged.

The 10 most intense peaks (2θ = 10–80°), by intensity:
- (0 0 2), 2θ 10.22, I 100
- (1 1 0), 2θ 19.15, I 83
- (1 0 4), 2θ 28.48, I 48
- (2 0 -4), 2θ 29.60, I 46
- (1 1 4), 2θ 31.34, I 44
- (1 1 -4), 2θ 24.73, I 35
- (2 2 0), 2θ 38.86, I 33
- (0 2 0), 2θ 25.86, I 32
- (0 1 4), 2θ 24.29, I 30
- (0 2 4), 2θ 33.25, I 28

Structure:
```
data_RbSiBiS4
_cell_length_a 6.585
_cell_length_b 6.890
_cell_length_c 18.198
_cell_angle_alpha 90.00
_cell_angle_beta 107.98
_cell_angle_gamma 90.00
_symmetry_space_group_name_H-M 'P 1 21/c 1'
_symmetry_Int_Tables_number 14
_symmetry_space_group_name_Hall '-P 2ybc'
loop_
_atom_site_label
_atom_site_fract_x
_atom_site_fract_y
_atom_site_fract_z
_atom_site_occupancy
Rb1 0.210 0.247 0.464 1
Si1 0.298 0.729 0.841 1
Bi1 0.261 0.190 0.223 1
S1 0.091 0.745 0.410 1
S2 0.102 0.681 0.722 1
S3 0.487 0.508 0.135 1
S4 0.491 0.515 0.354 1
```

The following is a theoretical PXRD pattern of Rb2Bi4Se7. It was derived from the PBE geometry in the Materials Project, using Cu Kα, 1.54184 Å.
Lines closer than 0.1° are merged.

The 10 most intense peaks (2θ = 10–80°), by intensity:
- (3 1 -1), 2θ 29.55, I 100
- (1 0 5), 2θ 30.18, I 51
- (4 1 4), 2θ 42.61, I 40
- (0 2 0), 2θ 42.42, I 29
- (1 2 5), 2θ 52.95, I 28
- (2 1 -6), 2θ 42.88, I 27
- (2 1 0), 2θ 24.86, I 20
- (1 0 -2), 2θ 13.05, I 19
- (2 0 -3), 2θ 21.43, I 18
- (2 1 -5), 2θ 38.08, I 14

Structure:
```
data_Rb2Bi4Se7
_cell_length_a 13.232
_cell_length_b 4.261
_cell_length_c 15.380
_cell_angle_alpha 90.00
_cell_angle_beta 92.79
_cell_angle_gamma 90.00
_symmetry_space_group_name_H-M 'P 1 21/m 1'
_symmetry_Int_Tables_number 11
_symmetry_space_group_name_Hall '-P 2yb'
loop_
_atom_site_label
_atom_site_fract_x
_atom_site_fract_y
_atom_site_fract_z
_atom_site_occupancy
Rb1 0.066 0.250 0.187 1
Rb2 0.319 0.750 0.370 1
Bi1 0.110 0.750 0.569 1
Bi2 0.228 0.750 0.951 1
Bi3 0.336 0.250 0.721 1
Bi4 0.442 0.250 0.124 1
Se1 0.041 0.750 0.388 1
Se2 0.090 0.250 0.964 1
Se3 0.192 0.750 0.759 1
Se4 0.262 0.250 0.540 1
Se5 0.288 0.750 0.142 1
Se6 0.405 0.250 0.915 1
Se7 0.495 0.750 0.698 1
```

The following is a theoretical PXRD pattern of RbBi3Se5. It was derived from the PBE geometry in the Materials Project, using Cu Kα, 1.54184 Å.
Lines closer than 0.1° are merged.

The 10 most intense peaks (2θ = 10–80°), by intensity:
- (5 1 -6), 2θ 29.62, I 100
- (0 2 0), 2θ 41.29, I 97
- (5 1 -5), 2θ 27.31, I 90
- (10 0 1), 2θ 30.05, I 80
- (1 1 -5), 2θ 28.06, I 57
- (3 1 8), 2θ 43.39, I 48
- (15 1 -5), 2θ 42.00, I 46
- (10 0 2), 2θ 32.73, I 40
- (7 1 -6), 2θ 30.48, I 39
- (3 1 -4), 2θ 24.84, I 39

Structure:
```
data_RbBi3Se5
_cell_length_a 37.031
_cell_length_b 4.373
_cell_length_c 25.076
_cell_angle_alpha 90.00
_cell_angle_beta 119.75
_cell_angle_gamma 90.00
_symmetry_space_group_name_H-M 'C 1 2/m 1'
_symmetry_Int_Tables_number 12
_symmetry_space_group_name_Hall '-C 2y'
loop_
_atom_site_label
_atom_site_fract_x
_atom_site_fract_y
_atom_site_fract_z
_atom_site_occupancy
Rb1 0.023 0.000 0.212 1
Rb2 0.161 0.000 0.652 1
Rb3 0.173 0.500 0.193 1
Bi1 0.000 0.000 0.000 1
Bi2 0.000 0.500 0.500 1
Bi3 0.044 0.000 0.660 1
Bi4 0.089 0.500 0.985 1
Bi5 0.111 0.000 0.438 1
Bi6 0.112 0.500 0.824 1
Bi7 0.157 0.500 0.340 1
Bi8 0.194 0.000 0.992 1
Bi9 0.223 0.500 0.554 1
Bi10 0.225 0.000 0.842 1
Se1 0.001 0.500 0.920 1
Se2 0.030 0.500 0.735 1
Se3 0.032 0.000 0.455 1
Se4 0.076 0.500 0.621 1
Se5 0.083 0.500 0.348 1
Se6 0.092 0.000 0.061 1
Se7 0.103 0.000 0.907 1
Se8 0.130 0.000 0.258 1
Se9 0.133 0.000 0.770 1
Se10 0.142 0.500 0.533 1
Se11 0.187 0.500 0.061 1
Se12 0.191 0.000 0.448 1
Se13 0.213 0.500 0.923 1
Se14 0.236 0.500 0.780 1
Se15 0.248 0.500 0.362 1
```

The following is a theoretical PXRD pattern of RbBi3Se5. It was derived from the PBE geometry in the Materials Project, using Cu Kα, 1.54184 Å.
Lines closer than 0.1° are merged.

The 10 most intense peaks (2θ = 10–80°), by intensity:
- (4 1 1), 2θ 27.43, I 100
- (5 1 1), 2θ 30.01, I 68
- (2 0 4), 2θ 29.49, I 46
- (3 1 5), 2θ 43.57, I 41
- (0 2 0), 2θ 42.77, I 35
- (8 1 0), 2θ 38.77, I 34
- (1 1 2), 2θ 25.69, I 31
- (3 0 4), 2θ 30.86, I 30
- (4 0 1), 2θ 17.43, I 27
- (9 0 2), 2θ 39.16, I 25

Structure:
```
data_RbBi3Se5
_cell_length_a 22.242
_cell_length_b 4.229
_cell_length_c 12.592
_cell_angle_alpha 90.00
_cell_angle_beta 90.00
_cell_angle_gamma 90.00
_symmetry_space_group_name_H-M 'P n m a'
_symmetry_Int_Tables_number 62
_symmetry_space_group_name_Hall '-P 2ac 2n'
loop_
_atom_site_label
_atom_site_fract_x
_atom_site_fract_y
_atom_site_fract_z
_atom_site_occupancy
Rb1 0.212 0.250 0.011 1
Bi1 0.025 0.250 0.136 1
Bi2 0.077 0.750 0.406 1
Bi3 0.129 0.250 0.696 1
Se1 0.020 0.750 0.639 1
Se2 0.064 0.250 0.915 1
Se3 0.114 0.750 0.193 1
Se4 0.160 0.250 0.473 1
Se5 0.206 0.750 0.752 1
```